Diffraction record for Zr2H3O6. The XRD peak list is calculated, not measured: it uses a DFT-relaxed cell (PBE, OQMD) and Cu Kα.

Main lines, by intensity (10° ≤ 2θ ≤ 80°):
| 2theta | I (rel.) | index |
| --- | --- | --- |
| 20.85 | 1000 | 1 -1 0 |
| 32.39 | 602 | 0 1 1 |
| 20.42 | 477 | 0 1 0 |
| 38.18 | 449 | 2 0 -1 |
| 17.87 | 421 | 0 0 1 |
| 21.18 | 419 | 1 0 -1 |

Cell and atoms:
a b c (Å): 5.1062 5.1425 5.6098
angles (deg): 105.18 104.83 112.50
Space group P1 (No. 1)
One atom of each set of equivalent atoms:
Zr1 0.0000 0.0000 0.0000 (multiplicity 1)
Zr2 0.3554 0.2870 0.6474 (multiplicity 1)
H1 0.1709 0.6728 0.3313 (multiplicity 1)
H2 0.4757 0.7894 0.1469 (multiplicity 1)
H3 0.8888 0.3773 0.7042 (multiplicity 1)
O1 0.1426 0.3731 0.3391 (multiplicity 1)
O2 0.2232 0.8826 0.3182 (multiplicity 1)
O3 0.4141 0.1077 0.9383 (multiplicity 1)
O4 0.5508 0.7278 0.0069 (multiplicity 1)
O5 0.7943 0.5625 0.6929 (multiplicity 1)
O6 0.9519 0.1920 0.7267 (multiplicity 1)


Diffraction record for Zr4H6O11. The XRD peak list is calculated, not measured: it uses a DFT-relaxed cell (PBE, OQMD) and Cu Kα.

Main lines, by intensity (10° ≤ 2θ ≤ 80°):
| 2theta | I (rel.) | index |
| --- | --- | --- |
| 19.51 | 1000 | 0 1 1 |
| 30.94 | 571 | 1 -1 2 |
| 18.97 | 561 | 1 0 0 |
| 32.84 | 403 | 1 0 -3 |
| 19.99 | 388 | 1 0 -1 |
| 23.23 | 381 | -1 1 1 |

Cell and atoms:
a b c (Å): 4.8644 5.6066 9.1453
angles (deg): 91.26 98.28 103.34
Space group P1 (No. 1)
One atom of each set of equivalent atoms:
Zr1 0.0000 0.0000 0.0000 (multiplicity 1)
Zr2 0.0034 0.3012 0.5231 (multiplicity 1)
Zr3 0.4330 0.8988 0.7027 (multiplicity 1)
Zr4 0.9551 0.5277 0.2002 (multiplicity 1)
H1 0.1568 0.4557 0.8506 (multiplicity 1)
H2 0.3756 0.5098 0.9985 (multiplicity 1)
H3 0.4683 0.4310 0.3640 (multiplicity 1)
H4 0.5165 0.7844 0.1223 (multiplicity 1)
H5 0.5426 0.1344 0.9827 (multiplicity 1)
H6 0.9349 0.7980 0.4860 (multiplicity 1)
O1 0.0803 0.9472 0.5310 (multiplicity 1)
O2 0.1653 0.4267 0.9607 (multiplicity 1)
O3 0.2240 0.8429 0.1555 (multiplicity 1)
O4 0.2296 0.5293 0.6852 (multiplicity 1)
O5 0.2476 0.3828 0.3396 (multiplicity 1)
O6 0.3760 0.0577 0.8926 (multiplicity 1)
O7 0.6311 0.1692 0.5907 (multiplicity 1)
O8 0.6537 0.6982 0.0802 (multiplicity 1)
O9 0.7621 0.1958 0.0999 (multiplicity 1)
O10 0.7866 0.5222 0.3897 (multiplicity 1)
O11 0.8092 0.8478 0.8040 (multiplicity 1)


Diffraction record for H4Os. The XRD peak list is calculated, not measured: it uses a DFT-relaxed cell (PBE, OQMD) and Cu Kα.

Main lines, by intensity (10° ≤ 2θ ≤ 80°):
| 2theta | I (rel.) | index |
| --- | --- | --- |
| 23.50 | 1000 | 2 0 0 |
| 23.70 | 983 | 2 0 -2 |
| 25.50 | 823 | 0 0 2 |
| 37.51 | 585 | 1 1 -1 |
| 41.83 | 441 | 1 1 1 |
| 47.52 | 314 | 3 1 -1 |

Cell and atoms:
a b c (Å): 8.9573 2.5297 8.2642
angles (deg): 90.00 122.30 90.00
Space group C2/c (No. 15)
One atom of each set of equivalent atoms:
H1 0.1159 0.0695 0.4465 (multiplicity 8)
H2 0.1312 0.1581 0.2222 (multiplicity 8)
Os1 0.0000 0.2820 0.7500 (multiplicity 4)


Diffraction record for ThPH. The XRD peak list is calculated, not measured: it uses a DFT-relaxed cell (PBE, OQMD) and Cu Kα.

Main lines, by intensity (10° ≤ 2θ ≤ 80°):
| 2theta | I (rel.) | index |
| --- | --- | --- |
| 34.85 | 1000 | 1 0 1 |
| 25.79 | 808 | 1 0 0 |
| 23.03 | 302 | 0 0 1 |
| 45.48 | 271 | 1 1 0 |
| 58.54 | 231 | 2 0 1 |
| 51.58 | 225 | 1 1 1 |

Cell and atoms:
a b c (Å): 3.9889 3.9889 3.8617
angles (deg): 90.00 90.00 120.00
Space group P-6m2 (No. 187)
One atom of each set of equivalent atoms:
Th1 0.0000 0.0000 0.0000 (multiplicity 1)
P1 0.6667 0.3333 0.5000 (multiplicity 1)
H1 0.3333 0.6667 0.0000 (multiplicity 1)


Diffraction record for HPd. The XRD peak list is calculated, not measured: it uses a DFT-relaxed cell (PBE, OQMD) and Cu Kα.

Main lines, by intensity (10° ≤ 2θ ≤ 80°):
| 2theta | I (rel.) | index |
| --- | --- | --- |
| 36.91 | 1000 | 1 0 1 |
| 44.22 | 292 | 1 1 0 |
| 76.54 | 228 | 2 1 1 |
| 61.21 | 225 | 1 1 2 |
| 40.10 | 193 | 0 0 2 |
| 70.76 | 143 | 1 0 3 |

Cell and atoms:
a b c (Å): 2.8965 2.8965 4.4976
angles (deg): 90.00 90.00 90.00
Space group P4_2/mmc (No. 131)
One atom of each set of equivalent atoms:
H1 0.0000 0.0000 0.2500 (multiplicity 2)
Pd1 0.0000 0.5000 0.0000 (multiplicity 2)


Diffraction record for PmH4Pd3. The XRD peak list is calculated, not measured: it uses a DFT-relaxed cell (PBE, OQMD) and Cu Kα.

Main lines, by intensity (10° ≤ 2θ ≤ 80°):
| 2theta | I (rel.) | index |
| --- | --- | --- |
| 39.88 | 1000 | 2 1 1 |
| 36.28 | 938 | 2 1 0 |
| 62.79 | 520 | 3 2 1 |
| 32.34 | 423 | 2 0 0 |
| 60.26 | 209 | 3 2 0 |
| 79.29 | 185 | 4 2 1 |

Cell and atoms:
a b c (Å): 5.5372 5.5372 5.5372
angles (deg): 90.00 90.00 90.00
Space group Pm-3n (No. 223)
One atom of each set of equivalent atoms:
Pm1 0.0000 0.0000 0.0000 (multiplicity 2)
H1 0.2500 0.2500 0.2500 (multiplicity 8)
Pd1 0.0000 0.2500 0.5000 (multiplicity 6)